Diffraction record for Dy2Cl2O. The XRD peak list is calculated, not measured: it uses DFT lattice parameters and positions (PBE) and a wavelength of 1.5418 Å.
Lines closer than 0.1° are merged.

Crystal structure
a b c (Å): 4.112 4.112 13.007
angles (deg): 90.00 90.00 90.00
Atoms (fractional coordinates):
1 Dy 0.000 0.000 0.159
2 Dy 0.000 0.000 0.841
3 Cl 0.000 0.000 0.348
4 Cl 0.000 0.000 0.652
5 O 0.000 0.000 0.000

Main lines, most intense first (2θ = 10–80°):
21.61°, 4.112 Å, I = 100; 30.75°, 2.907 Å, I = 40; 29.95°, 2.983 Å, I = 27; 22.68°, 3.920 Å, I = 22; 52.67°, 1.738 Å, I = 22; 35.19°, 2.550 Å, I = 21; 41.67°, 2.167 Å, I = 21; 47.41°, 1.918 Å, I = 21; 49.58°, 1.839 Å, I = 21; 20.49°, 4.336 Å, I = 16